Calculated X-ray diffraction stick pattern of MgMn6O7F5 for a wavelength of 1.5418 Å, from DFT lattice parameters and positions (PBE+U).

Structure:
```
MgMn6O7F5
1.0
5.050 0.000 0.000
0.145 5.696 0.000
0.318 0.813 7.844
Mg Mn O F
1 6 7 5
direct
0.000 0.000 0.000
0.012 0.617 0.822
0.487 0.841 0.168
0.490 0.509 0.507
0.538 0.170 0.810
0.989 0.002 0.475
0.996 0.384 0.168
0.169 0.675 0.068
0.313 0.809 0.402
0.326 0.449 0.728
0.676 0.869 0.926
0.696 0.208 0.585
0.850 0.066 0.235
0.854 0.344 0.944
0.157 0.956 0.752
0.195 0.323 0.380
0.331 0.167 0.042
0.689 0.548 0.285
0.822 0.697 0.594
```

The 12 most intense peaks (2θ from 15° to 90°), most intense first:
- (1 1 1), 24.97°, rel. 100
- (-1 1 1), 26.05°, rel. 86
- (2 2 2), 51.27°, rel. 48
- (1 1 -2), 34.35°, rel. 46
- (1 -1 2), 33.83°, rel. 28
- (1 -2 1), 39.36°, rel. 22
- (0 2 -1), 34.76°, rel. 21
- (2 0 0), 35.59°, rel. 19
- (-1 1 4), 51.80°, rel. 18
- (1 1 4), 50.20°, rel. 18
- (2 0 3), 49.23°, rel. 17
- (1 -3 0), 52.07°, rel. 16